Entry 1:
For Ti6Rh2N, a DFT-relaxed cell (PBE, Alexandria) gives the calculated X-ray powder pattern in this record (CuKα).
Intensities are scaled so that the largest is 100.

Crystal structure
abc: 2.943 7.324 7.324
angles: 121.64 90.00 90.00
Fractional positions:
Ti (0.000, 0.000, 0.000)
Ti (0.000, 0.560, 0.781)
Ti (0.000, 0.781, 0.560)
Ti (0.500, 0.219, 0.828)
Ti (0.500, 0.351, 0.351)
Ti (0.500, 0.828, 0.219)
Rh (0.000, 0.142, 0.490)
Rh (0.000, 0.490, 0.142)
N (0.500, 0.692, 0.692)

Principal peaks in the range 2θ = 15–90°, sorted by position:
Position (°2θ), d/Å, intensity
24.3, 3.661, 38
37.3, 2.408, 42
38.5, 2.340, 48
39.3, 2.294, 100
39.7, 2.271, 25
42.2, 2.140, 59

---

Entry 2:
For VRh2N, a DFT-relaxed cell (PBE, Alexandria) gives the calculated X-ray powder pattern in this record (CuKα).
Intensities are scaled so that the largest is 100.

Crystal structure
abc: 6.085 6.085 6.085
angles: 131.75 131.75 70.63
Fractional positions:
V (0.000, 0.000, 0.000)
V (0.750, 0.250, 0.500)
Rh (0.197, 0.625, 0.072)
Rh (0.375, 0.447, 0.572)
Rh (0.553, 0.125, 0.928)
Rh (0.875, 0.803, 0.428)
N (0.250, 0.750, 0.500)
N (0.500, 0.500, 0.000)

Principal peaks in the range 2θ = 15–90°, sorted by position:
Position (°2θ), d/Å, intensity
31.2, 2.870, 100
36.1, 2.485, 19
41.6, 2.171, 27
49.4, 1.846, 13
52.0, 1.758, 41
61.9, 1.499, 25

---

Entry 3:
For VRhN, a DFT-relaxed cell (PBE, Alexandria) gives the calculated X-ray powder pattern in this record (CuKα).
Intensities are scaled so that the largest is 100.

Crystal structure
abc: 9.003 9.003 9.003
angles: 162.81 162.73 24.46
Fractional positions:
V (0.000, 0.000, 0.000)
V (0.636, 0.136, 0.500)
Rh (0.387, 0.387, 0.000)
Rh (0.775, 0.775, 0.000)
N (0.177, 0.677, 0.500)
N (0.545, 0.545, 0.000)

Principal peaks in the range 2θ = 15–90°, sorted by position:
Position (°2θ), d/Å, intensity
36.6, 2.455, 56
36.8, 2.446, 87
41.0, 2.200, 59
42.1, 2.144, 100
42.3, 2.137, 88
48.9, 1.864, 65

---

Entry 4:
For ZnRhN, a DFT-relaxed cell (PBE, Alexandria) gives the calculated X-ray powder pattern in this record (CuKα).
Intensities are scaled so that the largest is 100.

Crystal structure
abc: 9.625 9.625 9.625
angles: 162.84 162.84 24.36
Fractional positions:
Zn (0.206, 0.206, 0.000)
Zn (0.794, 0.794, 0.000)
Rh (0.427, 0.427, 0.000)
Rh (0.573, 0.573, 0.000)
N (0.101, 0.101, 0.000)
N (0.899, 0.899, 0.000)

Principal peaks in the range 2θ = 15–90°, sorted by position:
Position (°2θ), d/Å, intensity
28.5, 3.136, 41
31.5, 2.839, 48
34.3, 2.611, 55
39.5, 2.283, 100
44.6, 2.031, 78
54.3, 1.690, 31

---

Entry 5:
For Zn2RhN2, a DFT-relaxed cell (PBE, Alexandria) gives the calculated X-ray powder pattern in this record (CuKα).
Intensities are scaled so that the largest is 100.

Crystal structure
abc: 6.364 6.364 2.788
angles: 90.00 90.00 90.00
Fractional positions:
Zn (0.136, 0.364, 0.000)
Zn (0.364, 0.864, 0.000)
Zn (0.636, 0.136, 0.000)
Zn (0.864, 0.636, 0.000)
Rh (0.000, 0.000, 0.000)
Rh (0.500, 0.500, 0.000)
N (0.182, 0.682, 0.500)
N (0.318, 0.182, 0.500)
N (0.682, 0.818, 0.500)
N (0.818, 0.318, 0.500)

Principal peaks in the range 2θ = 15–90°, sorted by position:
Position (°2θ), d/Å, intensity
31.4, 2.846, 56
32.1, 2.788, 85
43.1, 2.097, 32
45.1, 2.012, 100
45.5, 1.992, 78
56.4, 1.632, 82

---

Entry 6:
For SmSiRuN, a DFT-relaxed cell (PBE, Alexandria) gives the calculated X-ray powder pattern in this record (CuKα).
Intensities are scaled so that the largest is 100.

Crystal structure
abc: 3.970 3.970 8.123
angles: 90.00 90.00 90.00
Fractional positions:
Sm (0.250, 0.250, 0.159)
Sm (0.750, 0.750, 0.841)
Si (0.250, 0.250, 0.656)
Si (0.750, 0.750, 0.344)
Ru (0.250, 0.750, 0.500)
Ru (0.750, 0.250, 0.500)
N (0.250, 0.250, 0.873)
N (0.750, 0.750, 0.127)

Principal peaks in the range 2θ = 15–90°, sorted by position:
Position (°2θ), d/Å, intensity
25.0, 3.567, 55
31.5, 2.839, 84
33.1, 2.708, 45
33.8, 2.653, 100
39.0, 2.309, 65
45.7, 1.985, 58